For SmSnF7, a DFT-relaxed cell (GGA-PBE, the Materials Project) gives the theoretical powder XRD pattern in this record (Cu Ka).
Neutral-atom scattering factors, no anomalous dispersion.

Structure:
```
data_SmSnF7
_cell_length_a 9.1580
_cell_length_b 5.7496
_cell_length_c 12.3093
_cell_angle_alpha 90.00
_cell_angle_beta 117.76
_cell_angle_gamma 90.00
_space_group_name_H-M_alt 'P 1'
_space_group_IT_number 1
loop_
_space_group_symop_operation_xyz
'x,y,z'
loop_
_atom_site_label
_atom_site_type_symbol
_atom_site_fract_x
_atom_site_fract_y
_atom_site_fract_z
_atom_site_occupancy
Sm1 Sm 0.1877 0.2420 0.2654 1
Sm2 Sm 0.1877 0.2580 0.7654 1
Sm3 Sm 0.8123 0.7420 0.2346 1
Sm4 Sm 0.8123 0.7580 0.7346 1
Sn1 Sn 0.2729 0.7440 0.0430 1
Sn2 Sn 0.2729 0.7560 0.5430 1
Sn3 Sn 0.7271 0.2440 0.4570 1
Sn4 Sn 0.7271 0.2560 0.9570 1
F1 F 0.0272 0.7402 0.9465 1
F2 F 0.0272 0.7598 0.4465 1
F3 F 0.0301 0.5811 0.7333 1
F4 F 0.0301 0.9189 0.2333 1
F5 F 0.2557 0.5437 0.1703 1
F6 F 0.2557 0.9563 0.6703 1
F7 F 0.2695 0.0194 0.1413 1
F8 F 0.2695 0.4806 0.6413 1
F9 F 0.2831 0.0451 0.4548 1
F10 F 0.2831 0.4549 0.9548 1
F11 F 0.2915 0.5477 0.4199 1
F12 F 0.2915 0.9523 0.9199 1
F13 F 0.4819 0.2314 0.3597 1
F14 F 0.4819 0.2686 0.8597 1
F15 F 0.5181 0.7314 0.1403 1
F16 F 0.5181 0.7686 0.6403 1
F17 F 0.7085 0.0477 0.0801 1
F18 F 0.7085 0.4523 0.5801 1
F19 F 0.7169 0.5451 0.0452 1
F20 F 0.7169 0.9549 0.5452 1
F21 F 0.7305 0.5194 0.3587 1
F22 F 0.7305 0.9806 0.8587 1
F23 F 0.7443 0.0437 0.3297 1
F24 F 0.7443 0.4563 0.8297 1
F25 F 0.9699 0.0811 0.7667 1
F26 F 0.9699 0.4189 0.2667 1
F27 F 0.9728 0.2402 0.5535 1
F28 F 0.9728 0.2598 0.0535 1
```

Peak list (6 most intense, 2θ from 5° to 70°, by intensity)
h k l	d [Å]	Rel. int.
1 1 -2	4.149	1000
2 0 0	4.052	394
1 1 2	3.158	314
1 2 -4	2.091	205
2 1 -2	3.478	200
2 1 -6	1.932	159